# Mn2HO4
Simulated XRD peak list, Cu Kα. Input: a cell relaxed with GGA+U.
No peak broadening, texture or thermal motion is included.

Most intense lines, 10° ≤ 2θ ≤ 90°, most intense first:
20.7°, rel. 100.0; 33.0°, rel. 46.9; 36.9°, rel. 29.9; 52.8°, rel. 29.5; 35.3°, rel. 27.5; 59.4°, rel. 20.3

Cell and atoms:
```
Mn2HO4
1.0
2.961 0.000 0.000
0.000 4.749 0.000
0.000 0.000 9.909
Mn H O
4 2 8
Direct
0.000 0.206 0.000 Mn
0.000 0.794 0.500 Mn
0.500 0.278 0.278 Mn
0.500 0.722 0.778 Mn
0.500 0.202 0.600 H
0.500 0.798 0.100 H
0.000 0.085 0.364 O
0.000 0.440 0.167 O
0.000 0.560 0.667 O
0.000 0.915 0.864 O
0.500 0.007 0.098 O
0.500 0.407 0.923 O
0.500 0.593 0.423 O
0.500 0.993 0.598 O
```

=====

# Mn3HO6
Simulated XRD peak list, Cu Kα. Input: a cell relaxed with GGA+U.
No peak broadening, texture or thermal motion is included.

Most intense lines, 10° ≤ 2θ ≤ 90°, most intense first:
23.4°, rel. 100.0; 31.3°, rel. 79.6; 35.5°, rel. 71.9; 22.6°, rel. 60.8; 41.0°, rel. 54.8; 32.4°, rel. 48.2

Cell and atoms:
```
Mn3HO6
1.0
7.086 -1.499 0.000
7.086 1.499 0.000
-0.168 0.000 4.623
Mn H O
3 1 6
Direct
0.000 0.000 0.000 Mn
0.346 0.346 0.476 Mn
0.653 0.653 0.518 Mn
0.767 0.767 0.052 H
0.099 0.099 0.312 O
0.229 0.229 0.700 O
0.436 0.436 0.181 O
0.563 0.563 0.814 O
0.773 0.773 0.265 O
0.898 0.898 0.689 O
```

=====

# MnH2O2
Simulated XRD peak list, Cu Kα. Input: a cell relaxed with GGA+U.
No peak broadening, texture or thermal motion is included.

Most intense lines, 10° ≤ 2θ ≤ 90°, most intense first:
18.3°, rel. 100.0; 36.2°, rel. 38.8; 36.0°, rel. 35.5; 35.6°, rel. 35.4; 30.6°, rel. 33.0; 54.4°, rel. 20.8

Cell and atoms:
```
MnH2O2
1.0
3.368 0.000 0.000
-0.010 5.841 0.000
-1.648 -2.830 4.845
Mn H O
2 4 4
Direct
0.000 0.000 0.000 Mn
0.499 0.500 0.000 Mn
0.212 0.544 0.424 H
0.295 0.966 0.576 H
0.715 0.044 0.424 H
0.792 0.466 0.576 H
0.109 0.441 0.224 O
0.392 0.060 0.777 O
0.608 0.941 0.223 O
0.892 0.561 0.777 O
```

=====

# MnHO2
Simulated XRD peak list, Cu Kα. Input: a cell relaxed with GGA+U.
No peak broadening, texture or thermal motion is included.

Most intense lines, 10° ≤ 2θ ≤ 90°, most intense first:
21.1°, rel. 100.0; 36.4°, rel. 68.6; 32.6°, rel. 50.3; 52.9°, rel. 47.4; 57.7°, rel. 27.1; 34.2°, rel. 22.8

Cell and atoms:
```
MnHO2
1.0
3.054 0.000 0.000
0.000 4.608 0.000
0.000 0.000 10.255
Mn H O
4 4 8
Direct
0.000 0.214 0.000 Mn
0.000 0.786 0.500 Mn
0.500 0.281 0.712 Mn
0.500 0.719 0.212 Mn
0.000 0.164 0.262 H
0.000 0.836 0.762 H
0.500 0.344 0.432 H
0.500 0.656 0.932 H
0.000 0.038 0.798 O
0.000 0.482 0.157 O
0.000 0.518 0.657 O
0.000 0.962 0.298 O
0.500 0.021 0.559 O
0.500 0.449 0.908 O
0.500 0.551 0.408 O
0.500 0.979 0.059 O
```

=====

# Mn2HO4
Simulated XRD peak list, Cu Kα. Input: a cell relaxed with GGA+U.
No peak broadening, texture or thermal motion is included.

Most intense lines, 10° ≤ 2θ ≤ 90°, most intense first:
12.3°, rel. 100.0; 17.4°, rel. 65.3; 35.5°, rel. 61.7; 27.6°, rel. 49.7; 57.3°, rel. 33.1; 47.4°, rel. 29.2

Cell and atoms:
```
Mn2HO4
1.0
6.065 0.000 0.000
0.003 10.192 0.000
0.008 0.003 10.212
Mn H O
16 8 32
Direct
0.000 0.000 0.000 Mn
0.001 0.333 0.704 Mn
0.243 0.833 0.205 Mn
0.244 0.502 0.500 Mn
0.251 0.314 0.011 Mn
0.254 0.020 0.693 Mn
0.492 0.007 0.999 Mn
0.493 0.326 0.704 Mn
0.499 0.519 0.186 Mn
0.501 0.816 0.518 Mn
0.744 0.315 0.018 Mn
0.746 0.019 0.686 Mn
0.750 0.827 0.205 Mn
0.752 0.509 0.500 Mn
0.991 0.520 0.193 Mn
0.993 0.815 0.512 Mn
0.017 0.247 0.219 H
0.022 0.085 0.485 H
0.225 0.589 0.987 H
0.245 0.744 0.715 H
0.517 0.036 0.269 H
0.517 0.305 0.429 H
0.726 0.532 0.774 H
0.729 0.802 0.930 H
0.001 0.000 0.808 O
0.008 0.316 0.152 O
0.014 0.018 0.552 O
0.234 0.519 0.053 O
0.243 0.815 0.650 O
0.245 0.501 0.308 O
0.247 0.125 0.014 O
0.247 0.833 0.397 O
0.249 0.208 0.690 O
0.252 0.877 0.012 O
0.253 0.457 0.692 O
0.492 0.327 0.141 O
0.494 0.008 0.562 O
0.496 0.004 0.812 O
0.497 0.329 0.893 O
0.497 0.711 0.189 O
0.499 0.625 0.516 O
0.509 0.968 0.202 O
0.510 0.368 0.500 O
0.734 0.467 0.704 O
0.735 0.867 0.999 O
0.745 0.123 0.016 O
0.745 0.833 0.396 O
0.747 0.211 0.686 O
0.747 0.505 0.311 O
0.752 0.508 0.063 O
0.752 0.826 0.642 O
0.991 0.957 0.192 O
0.992 0.378 0.512 O
0.995 0.707 0.193 O
0.996 0.627 0.515 O
0.998 0.332 0.896 O
```

=====

# Mn2HO4
Simulated XRD peak list, Cu Kα. Input: a cell relaxed with GGA+U.
No peak broadening, texture or thermal motion is included.

Most intense lines, 10° ≤ 2θ ≤ 90°, most intense first:
23.2°, rel. 100.0; 22.7°, rel. 78.9; 36.2°, rel. 72.7; 31.1°, rel. 70.9; 31.8°, rel. 66.1; 53.5°, rel. 62.0

Cell and atoms:
```
Mn2HO4
1.0
4.571 -3.009 0.000
4.571 3.009 0.000
-0.315 0.000 14.562
Mn H O
12 6 24
Direct
0.120 0.880 0.500 Mn
0.133 0.884 0.806 Mn
0.138 0.388 0.651 Mn
0.375 0.628 0.999 Mn
0.388 0.138 0.151 Mn
0.395 0.648 0.300 Mn
0.628 0.375 0.499 Mn
0.631 0.885 0.652 Mn
0.648 0.395 0.800 Mn
0.880 0.120 0.000 Mn
0.884 0.133 0.306 Mn
0.885 0.631 0.152 Mn
0.194 0.394 0.845 H
0.394 0.194 0.345 H
0.594 0.845 0.463 H
0.648 0.940 0.838 H
0.845 0.594 0.963 H
0.940 0.648 0.338 H
0.005 0.745 0.037 O
0.014 0.270 0.764 O
0.031 0.273 0.101 O
0.037 0.760 0.361 O
0.221 0.971 0.933 O
0.246 0.495 0.202 O
0.268 0.517 0.543 O
0.270 0.014 0.264 O
0.273 0.031 0.601 O
0.292 0.506 0.866 O
0.493 0.740 0.438 O
0.495 0.246 0.702 O
0.506 0.292 0.366 O
0.512 0.762 0.764 O
0.517 0.268 0.043 O
0.520 0.774 0.098 O
0.740 0.493 0.938 O
0.745 0.005 0.537 O
0.752 0.998 0.202 O
0.760 0.037 0.861 O
0.762 0.512 0.264 O
0.774 0.520 0.598 O
0.971 0.221 0.433 O
0.998 0.752 0.702 O
```

=====

# Mn8HO16
Simulated XRD peak list, Cu Kα. Input: a cell relaxed with GGA+U.
No peak broadening, texture or thermal motion is included.

Most intense lines, 10° ≤ 2θ ≤ 90°, most intense first:
12.6°, rel. 100.0; 36.5°, rel. 64.4; 17.9°, rel. 41.0; 17.7°, rel. 38.7; 28.2°, rel. 25.5; 28.4°, rel. 24.7

Cell and atoms:
```
Mn8HO16
1.0
9.934 0.000 0.000
0.000 5.916 0.000
-9.935 0.000 9.999
Mn H O
16 2 32
Direct
0.000 0.117 0.000 Mn
0.000 0.883 0.500 Mn
0.362 0.126 0.669 Mn
0.362 0.373 0.168 Mn
0.362 0.627 0.668 Mn
0.362 0.874 0.169 Mn
0.664 0.372 0.983 Mn
0.664 0.628 0.483 Mn
0.666 0.120 0.485 Mn
0.666 0.880 0.985 Mn
0.696 0.129 0.183 Mn
0.696 0.871 0.683 Mn
0.698 0.371 0.689 Mn
0.698 0.629 0.189 Mn
0.998 0.378 0.501 Mn
0.998 0.622 0.001 Mn
0.386 0.338 0.432 H
0.386 0.662 0.932 H
0.130 0.371 0.128 O
0.130 0.629 0.628 O
0.131 0.129 0.629 O
0.131 0.871 0.129 O
0.230 0.377 0.539 O
0.230 0.623 0.039 O
0.236 0.123 0.042 O
0.236 0.877 0.542 O
0.466 0.124 0.292 O
0.466 0.876 0.792 O
0.467 0.376 0.789 O
0.467 0.624 0.289 O
0.523 0.358 0.489 O
0.523 0.642 0.989 O
0.543 0.124 0.992 O
0.543 0.876 0.492 O
0.560 0.378 0.173 O
0.560 0.622 0.673 O
0.564 0.121 0.676 O
0.564 0.879 0.176 O
0.798 0.372 0.497 O
0.798 0.628 0.997 O
0.804 0.113 0.996 O
0.804 0.887 0.496 O
0.814 0.383 0.176 O
0.814 0.617 0.676 O
0.817 0.124 0.677 O
0.817 0.876 0.177 O
0.891 0.372 0.878 O
0.891 0.628 0.378 O
0.894 0.131 0.377 O
0.894 0.869 0.877 O
```

=====

# MnHO2
Simulated XRD peak list, Cu Kα. Input: a cell relaxed with GGA+U.
No peak broadening, texture or thermal motion is included.

Most intense lines, 10° ≤ 2θ ≤ 90°, most intense first:
25.8°, rel. 100.0; 36.7°, rel. 44.8; 54.2°, rel. 43.6; 50.3°, rel. 32.1; 33.2°, rel. 31.7; 60.5°, rel. 14.7

Cell and atoms:
```
MnHO2
1.0
2.923 0.000 0.000
0.000 5.393 0.000
-0.001 0.000 4.499
Mn H O
2 2 4
Direct
0.247 0.000 0.227 Mn
0.753 0.500 0.773 Mn
0.252 0.511 0.309 H
0.748 0.011 0.691 H
0.252 0.614 0.505 O
0.253 0.374 0.014 O
0.747 0.874 0.986 O
0.748 0.114 0.495 O
```